Record 1
Simulated powder X-ray diffraction pattern of LiCa2GaRh2 for Cu Kα X-rays, from a PBE-relaxed structure.
Neutral-atom scattering factors, no anomalous dispersion.

The 8 most intense peaks (2θ from 10° to 80°), in order of falling intensity:
- d 3.563, rel. 100
- d 2.053, rel. 60
- d 2.272, rel. 58
- d 2.234, rel. 54
- d 2.695, rel. 48
- d 5.317, rel. 37
- d 2.060, rel. 32
- d 2.945, rel. 30

Structural model:
a = 5.7288 Å, b = 14.2846 Å, c = 5.8893 Å
α = 90.00°, β = 90.00°, γ = 90.00°
Space group Ibam (No. 72)
Inequivalent atoms, fractional coordinates:
Li  0.0000  0.0000  0.2500 [4 per cell]
Ca  0.2486  0.1707  0.0000 [8 per cell]
Ga  0.0000  0.5000  0.2500 [4 per cell]
Rh  0.2348  0.3902  0.0000 [8 per cell]

Record 2
Simulated powder X-ray diffraction pattern of Nd5Np3N8 for Cu Kα X-rays, from a PBE-relaxed structure.
Neutral-atom scattering factors, no anomalous dispersion.

The 8 most intense peaks (2θ from 10° to 80°), in order of falling intensity:
- d 2.902, rel. 100
- d 2.517, rel. 92
- d 1.516, rel. 46
- d 2.917, rel. 34
- d 1.783, rel. 32
- d 1.776, rel. 32
- d 1.451, rel. 16
- d 1.521, rel. 16

Structural model:
a = 7.1042 Å, b = 7.1042 Å, c = 17.5029 Å
α = 90.00°, β = 90.00°, γ = 120.00°
Space group R-3m (No. 166, hexagonal axes)
Inequivalent atoms, fractional coordinates:
Nd  0.0000  0.0000  0.0000 [3 per cell]
Nd  0.0000  0.0000  0.5000 [3 per cell]
Nd  0.0000  0.5000  0.0000 [9 per cell]
Np  0.0000  0.5000  0.5000 [9 per cell]
N  0.0000  0.0000  0.2400 [6 per cell]
N  0.0188  0.5094  0.7596 [18 per cell]

Record 3
Simulated powder X-ray diffraction pattern of InGa2Cl8 for Cu Kα X-rays, from a PBE-relaxed structure.
Neutral-atom scattering factors, no anomalous dispersion.

The 8 most intense peaks (2θ from 10° to 80°), in order of falling intensity:
- d 7.522, rel. 100
- d 4.649, rel. 86
- d 3.356, rel. 49
- d 4.210, rel. 31
- d 3.132, rel. 23
- d 2.400, rel. 20
- d 2.524, rel. 19
- d 1.974, rel. 19

Structural model:
a = 12.9362 Å, b = 9.2943 Å, c = 6.3799 Å
α = 90.00°, β = 98.10°, γ = 90.00°
Space group C2/m (No. 12)
Inequivalent atoms, fractional coordinates:
In  0.0000  0.0000  0.0000 [2 per cell]
Ga  0.1982  0.0000  0.6545 [4 per cell]
Cl  0.1090  0.1868  0.7605 [8 per cell]
Cl  0.1396  0.5000  0.2163 [4 per cell]
Cl  0.1833  0.0000  0.3015 [4 per cell]